LiCo2OF3: computed X-ray diffraction stick pattern (CuKα), based on DFT lattice parameters and positions (GGA+U).
Neutral-atom scattering factors, no anomalous dispersion.

Structural model:
abc: 6.0929 6.0929 8.6175
angles: 90.00 90.00 90.00
Space group P4_3 (No. 78)
Inequivalent atoms, fractional coordinates:
Li  0.0056  0.2464  0.0000 (multiplicity 4)
Co  0.2445  0.7258  0.8856 (multiplicity 4)
Co  0.2539  0.5106  0.2348 (multiplicity 4)
O  0.2552  0.4735  0.0104 (multiplicity 4)
F  0.0046  0.7591  0.2580 (multiplicity 4)
F  0.0177  0.2502  0.2450 (multiplicity 4)
F  0.2345  0.5062  0.4902 (multiplicity 4)

The 6 most intense peaks (10° ≤ 2θ ≤ 80°), in order of rising 2θ:
| 2θ/deg | I_rel | hkl |
| --- | --- | --- |
| 14.5 | 23 | 1 0 0 |
| 23.1 | 25 | 1 1 1 |
| 29.3 | 53 | 2 0 0 |
| 34.5 | 100 | 2 1 1 |
| 55.4 | 34 | 3 2 1 |
| 60.8 | 52 | 4 0 0 |